Entry 1:
# Mg3Cr8FeO16
Simulated powder XRD pattern, Cu Kα (λ = 1.5418 Å). Input: a structure optimized by DFT (GGA+U).

Crystal structure
a = 10.411 Å, b = 10.411 Å, c = 10.411 Å
α = 33.56°, β = 33.56°, γ = 33.56°
Positions (direct):
Mg: 0.000 0.000 0.000
Mg: 0.125 0.125 0.125
Mg: 0.625 0.625 0.625
Cr: 0.062 0.562 0.562
Cr: 0.063 0.063 0.562
Cr: 0.063 0.562 0.063
Cr: 0.312 0.312 0.312
Cr: 0.562 0.062 0.562
Cr: 0.562 0.063 0.063
Cr: 0.562 0.562 0.062
Cr: 0.812 0.812 0.812
Fe: 0.500 0.500 0.500
O: 0.158 0.705 0.705
O: 0.193 0.193 0.193
O: 0.204 0.204 0.660
O: 0.204 0.660 0.204
O: 0.421 0.421 0.965
O: 0.421 0.965 0.421
O: 0.431 0.431 0.431
O: 0.465 0.921 0.921
O: 0.660 0.204 0.204
O: 0.693 0.693 0.693
O: 0.705 0.158 0.705
O: 0.705 0.705 0.158
O: 0.921 0.465 0.921
O: 0.921 0.921 0.465
O: 0.932 0.932 0.932
O: 0.965 0.421 0.421

The 10 most intense peaks (10 to 90 degrees two-theta), low angle first:
two_theta  I/Imax
18.1  46
29.7  17
35.0  100
36.6  10
42.5  44
56.2  38
61.7  54
73.0  10
77.9  6
88.3  16


Entry 2:
# Ba3DyV2O9
Simulated powder XRD pattern, Cu Kα (λ = 1.5418 Å). Input: a structure optimized by DFT (GGA+U).

Crystal structure
a = 5.825 Å, b = 5.825 Å, c = 7.155 Å
α = 90.00°, β = 90.00°, γ = 120.00°
Positions (direct):
Ba: 0.000 0.000 0.000
Ba: 0.333 0.667 0.682
Ba: 0.667 0.333 0.318
Dy: 0.000 0.000 0.500
V: 0.333 0.667 0.164
V: 0.667 0.333 0.836
O: 0.000 0.500 0.000
O: 0.178 0.357 0.313
O: 0.178 0.822 0.313
O: 0.357 0.178 0.687
O: 0.500 0.000 0.000
O: 0.500 0.500 0.000
O: 0.643 0.822 0.313
O: 0.822 0.178 0.687
O: 0.822 0.643 0.687

The 10 most intense peaks (10 to 90 degrees two-theta), low angle first:
two_theta  I/Imax
21.6  6
30.7  100
37.8  7
43.9  32
54.4  9
54.5  29
63.8  9
63.9  9
72.5  17
88.8  10